Record 1
Diffraction record for Li4AcIn2Hg. The powder diffraction line list is calculated, not measured: it uses the PBE geometry in Alexandria and Cu Kα X-rays.

Main lines, low angle first (15 to 90 degrees two-theta):
- 22.42°, intensity 11
- 24.95°, intensity 100
- 33.31°, intensity 52
- 37.72°, intensity 39
- 38.08°, intensity 12
- 45.75°, intensity 20
- 51.19°, intensity 15
- 54.68°, intensity 25
- 56.51°, intensity 11
- 60.74°, intensity 17
- 65.30°, intensity 15
- 80.78°, intensity 8

Structure:
Lattice parameters (Å, degrees): 9.8445 9.8445 9.8445 28.04 28.04 28.04
Element x y z (fractional)
Li 0.0907 0.0907 0.0907
Li 0.3641 0.3641 0.3641
Li 0.6359 0.6359 0.6359
Li 0.9093 0.9093 0.9093
Ac 0.5000 0.5000 0.5000
In 0.2499 0.2499 0.2499
In 0.7501 0.7501 0.7501
Hg 0.0000 0.0000 0.0000



Record 2
Diffraction record for Ac2Mg3In4Hg. The powder diffraction line list is calculated, not measured: it uses the PBE geometry in Alexandria and Cu Kα X-rays.

Main lines, low angle first (15 to 90 degrees two-theta):
- 19.98°, intensity 23
- 23.72°, intensity 12
- 28.94°, intensity 47
- 30.29°, intensity 100
- 37.66°, intensity 44
- 41.79°, intensity 25
- 48.18°, intensity 23
- 48.53°, intensity 12
- 52.81°, intensity 14
- 54.31°, intensity 15
- 57.50°, intensity 19
- 63.45°, intensity 26

Structure:
Lattice parameters (Å, degrees): 4.7775 4.7775 12.1197 90.00 90.00 90.00
Element x y z (fractional)
Ac 0.0000 0.5000 0.2487
Ac 0.5000 0.0000 0.7513
Mg 0.0000 0.0000 0.0000
Mg 0.0000 0.5000 0.6354
Mg 0.5000 0.0000 0.3646
In 0.0000 0.0000 0.5000
In 0.0000 0.5000 0.8613
In 0.5000 0.0000 0.1387
In 0.5000 0.5000 0.5000
Hg 0.5000 0.5000 0.0000



Record 3
Diffraction record for Ac4InHgO. The powder diffraction line list is calculated, not measured: it uses the PBE geometry in Alexandria and Cu Kα X-rays.

Main lines, low angle first (15 to 90 degrees two-theta):
- 26.52°, intensity 100
- 29.99°, intensity 28
- 30.47°, intensity 36
- 31.77°, intensity 77
- 34.98°, intensity 67
- 46.73°, intensity 34
- 50.20°, intensity 12
- 57.69°, intensity 12
- 57.84°, intensity 12
- 59.64°, intensity 17
- 60.67°, intensity 12
- 60.81°, intensity 12

Structure:
Lattice parameters (Å, degrees): 9.6442 9.6442 7.2693 90.00 90.00 135.91
Element x y z (fractional)
Ac 0.0000 0.5000 0.0000
Ac 0.0000 0.5000 0.5000
Ac 0.0613 0.9387 0.7500
Ac 0.4228 0.5772 0.7500
Ac 0.5000 0.0000 0.0000
Ac 0.5000 0.0000 0.5000
Ac 0.5772 0.4228 0.2500
Ac 0.9387 0.0613 0.2500
In 0.3861 0.6139 0.2500
In 0.6139 0.3861 0.7500
Hg 0.1188 0.8812 0.2500
Hg 0.8812 0.1188 0.7500
O 0.2759 0.7241 0.7500
O 0.7241 0.2759 0.2500